This entry pairs a crystal structure of Na3MnBSO7 with its theoretical powder XRD pattern. Radiation: Cu Kα, 1.54184 Å. Structure: a PBE+U-relaxed structure.
Neutral-atom scattering factors, no anomalous dispersion.

Structure:
a = 5.338 Å, b = 6.947 Å, c = 9.111 Å
α = 90.00°, β = 91.04°, γ = 90.00°
Space group P2_1/m (No. 11)
Unique sites:
Na  0.239  0.010  0.269 [4 per cell]
Na  0.254  0.250  0.564 [2 per cell]
Mn  0.238  0.750  0.838 [2 per cell]
B  0.268  0.750  0.562 [2 per cell]
S  0.283  0.250  0.920 [2 per cell]
O  0.036  0.750  0.632 [2 per cell]
O  0.155  0.250  0.064 [2 per cell]
O  0.209  0.077  0.832 [4 per cell]
O  0.293  0.750  0.413 [2 per cell]
O  0.439  0.750  0.054 [2 per cell]
O  0.479  0.750  0.659 [2 per cell]

Most intense lines, 10° ≤ 2θ ≤ 90°, sorted by position:
2θ/deg, d [Å], I/Imax, (hkl)
16.04, 5.524, 34, 0 1 1
19.12, 4.642, 26, 1 0 -1
19.44, 4.566, 25, 1 0 1
25.48, 3.496, 56, 1 0 -2
25.65, 3.473, 100, 0 2 0
25.95, 3.434, 25, 1 0 2
29.01, 3.078, 24, 1 1 2
32.18, 2.781, 71, 1 2 -1
32.40, 2.763, 90, 0 2 2
33.58, 2.669, 71, 2 0 0
33.69, 2.660, 24, 1 0 -3
52.74, 1.736, 53, 0 4 0